Starting from a structure optimized by DFT (GGA+U), the PXRD pattern of HoFe2SnO6 was calculated for λ = 1.5418 Å (Cu Kα).
Intensities are scaled so that the largest is 100.

The 12 most intense peaks (2θ = 10–80°), low angle first:
2θ = 22.70°, intensity 33.7; 2θ = 22.81°, intensity 35.5; 2θ = 22.99°, intensity 35.0; 2θ = 31.10°, intensity 52.1; 2θ = 31.50°, intensity 100.0; 2θ = 33.60°, intensity 93.2; 2θ = 33.66°, intensity 45.2; 2θ = 46.35°, intensity 20.4; 2θ = 46.59°, intensity 19.5; 2θ = 46.98°, intensity 19.4; 2θ = 51.38°, intensity 24.3; 2θ = 60.06°, intensity 29.1

Crystal structure
Cell: 5.326 5.328 5.705 Å, 62.29 89.49 60.18°
Space group P1 (No. 1)
Inequivalent atoms, fractional coordinates:
1 Ho 0.000 0.000 0.000 x1
2 Fe 0.212 0.581 0.621 x1
3 Fe 0.726 0.545 0.168 x1
4 Sn 0.520 0.963 0.547 x1
5 O 0.129 0.044 0.365 x1
6 O 0.335 0.101 0.831 x1
7 O 0.426 0.455 0.357 x1
8 O 0.565 0.495 0.829 x1
9 O 0.832 0.752 0.364 x1
10 O 0.934 0.721 0.842 x1